This entry pairs a crystal structure of ScV2F8 with its simulated powder diffraction line list. Radiation: Cu Kα, 1.54184 Å. Structure: a crystal structure in Alexandria, relaxed with PBE+U.

Crystal structure
abc: 8.6227 6.7088 5.0878
angles: 90.00 105.05 90.00
Space group C2/m (No. 12)
Symmetry-distinct sites (fractional):
Sc (0.0000, 0.0000, 0.0000)
V (0.1851, 0.5000, 0.4589)
F (0.0600, 0.5000, 0.7430)
F (0.1453, 0.1921, 0.2818)
F (0.1582, 0.0000, 0.7800)

Principal peaks in the range 10° ≤ 2θ ≤ 90°, by intensity:
| 2theta | Rel. int. | (hkl) |
| --- | --- | --- |
| 26.6 | 100 | 0 2 0 |
| 24.2 | 95 | 2 0 -1 |
| 41.7 | 81 | 2 2 1 |
| 26.9 | 78 | 1 1 1 |
| 44.5 | 50 | 3 1 -2 |
| 47.1 | 49 | 1 3 1 |
| 22.7 | 48 | 1 1 -1 |
| 54.7 | 40 | 0 4 0 |
| 18.1 | 38 | 0 0 1 |
| 61.8 | 36 | 2 2 -3 |